1.
PrC6N9: computed powder X-ray diffraction pattern (Cu Kα (λ = 1.5418 Å)), based on a PBE-relaxed structure.

a = 6.9118 Å, b = 6.9118 Å, c = 9.9724 Å
α = 90.00°, β = 90.00°, γ = 109.30°
Fractional positions:
Pr 0.2131 0.7869 0.7500
Pr 0.7869 0.2131 0.2500
C 0.0556 0.2259 0.7500
C 0.2156 0.5003 0.0490
C 0.2156 0.5003 0.4510
C 0.2259 0.0556 0.2500
C 0.5003 0.2156 0.5490
C 0.5003 0.2156 0.9510
C 0.4997 0.7844 0.0490
C 0.4997 0.7844 0.4510
C 0.7741 0.9444 0.7500
C 0.7844 0.4997 0.5490
C 0.7844 0.4997 0.9510
C 0.9444 0.7741 0.2500
N 0.0271 0.9729 0.2500
N 0.0916 0.3563 0.0959
N 0.0916 0.3563 0.4041
N 0.1402 0.4038 0.7500
N 0.3415 0.6585 0.5122
N 0.3415 0.6585 0.9878
N 0.3563 0.0916 0.5959
N 0.3563 0.0916 0.9041
N 0.4038 0.1402 0.2500
N 0.5962 0.8598 0.7500
N 0.6437 0.9084 0.0959
N 0.6437 0.9084 0.4041
N 0.6585 0.3415 0.0122
N 0.6585 0.3415 0.4878
N 0.8598 0.5962 0.2500
N 0.9084 0.6437 0.5959
N 0.9084 0.6437 0.9041
N 0.9729 0.0271 0.7500

The 6 most intense peaks (10° ≤ 2θ ≤ 90°), by intensity:
d_spacing	I_rel
5.459	100
5.637	28
3.219	28
2.962	25
3.962	22
4.986	17

***

2.
ErTmPbC: computed powder X-ray diffraction pattern (Cu Kα (λ = 1.5418 Å)), based on a PBE-relaxed structure.

a = 3.5924 Å, b = 3.5924 Å, c = 15.8804 Å
α = 90.00°, β = 90.00°, γ = 120.00°
Fractional positions:
Er 0.3333 0.6667 0.0000
Er 0.6667 0.3333 0.5000
Tm 0.3333 0.6667 0.3358
Tm 0.6667 0.3333 0.8358
Pb 0.3333 0.6667 0.6681
Pb 0.6667 0.3333 0.1681
C 0.0000 0.0000 0.4176
C 0.0000 0.0000 0.9176

The 6 most intense peaks (10° ≤ 2θ ≤ 90°), by intensity:
d_spacing	I_rel
2.682	100
3.111	23
1.486	22
1.796	21
2.647	21
1.535	19

***

3.
GdHoB2Ir2C2: computed powder X-ray diffraction pattern (Cu Kα (λ = 1.5418 Å)), based on a PBE-relaxed structure.

a = 3.7401 Å, b = 3.7401 Å, c = 7.7899 Å
α = 90.00°, β = 90.00°, γ = 90.00°
Fractional positions:
Gd 0.0000 0.0000 0.0000
Ho 0.5000 0.5000 0.3233
B 0.0000 0.0000 0.5039
B 0.5000 0.5000 0.8219
Ir 0.0000 0.5000 0.6618
Ir 0.5000 0.0000 0.6618
C 0.0000 0.0000 0.3102
C 0.5000 0.5000 0.0166

The 6 most intense peaks (10° ≤ 2θ ≤ 90°), by intensity:
d_spacing	I_rel
2.504	100
2.188	63
7.790	52
2.597	45
3.372	41
1.870	37

***

4.
Y3Er2Tm2Ni2Te2: computed powder X-ray diffraction pattern (Cu Kα (λ = 1.5418 Å)), based on a PBE-relaxed structure.

a = 9.3214 Å, b = 9.3214 Å, c = 9.3214 Å
α = 156.12°, β = 66.73°, γ = 118.73°
Fractional positions:
Y 0.0000 0.0000 0.0000
Y 0.6194 0.2663 0.3530
Y 0.9133 0.2663 0.6470
Er 0.3049 0.6197 0.6852
Er 0.9346 0.6197 0.3148
Tm 0.2822 0.4156 0.8666
Tm 0.5491 0.4156 0.1334
Ni 0.1693 0.9292 0.2401
Ni 0.6892 0.9292 0.7599
Te 0.2659 0.7659 0.5000
Te 0.6596 0.6596 0.0000

The 6 most intense peaks (10° ≤ 2θ ≤ 90°), by intensity:
d_spacing	I_rel
2.594	100
2.633	99
2.703	81
2.941	41
3.574	35
1.929	33